No. 1
Computed powder XRD pattern of AcGdTc4 for Cu Kα (λ = 1.5418 Å), from the PBE geometry in Alexandria.
Intensities are scaled so that the largest is 100.

Main lines, low angle first (2θ = 5–70°):
- 19.67°, intensity 4.2
- 22.75°, intensity 1.9
- 32.40°, intensity 49.8
- 38.19°, intensity 100.0
- 39.96°, intensity 22.1
- 50.92°, intensity 1.5
- 52.35°, intensity 0.8
- 57.79°, intensity 19.6
- 61.66°, intensity 32.8
- 67.82°, intensity 25.2

Crystal structure
Cell: 5.5271 5.5271 5.5271 Å, 60.00 60.00 60.00°
Fractional positions:
Ac (0.0000, 0.0000, 0.0000)
Gd (0.7500, 0.7500, 0.7500)
Tc (0.3754, 0.3754, 0.3754)
Tc (0.3754, 0.3754, 0.8737)
Tc (0.3754, 0.8737, 0.3754)
Tc (0.8737, 0.3754, 0.3754)

No. 2
Computed powder XRD pattern of Pm2PRh3 for Cu Kα (λ = 1.5418 Å), from the PBE geometry in Alexandria.
Intensities are scaled so that the largest is 100.

Main lines, low angle first (2θ = 5–70°):
- 31.95°, intensity 31.2
- 35.58°, intensity 66.4
- 37.86°, intensity 100.0
- 39.48°, intensity 88.5
- 40.19°, intensity 40.9
- 42.55°, intensity 33.4
- 59.32°, intensity 30.3
- 62.04°, intensity 23.1
- 64.30°, intensity 19.4
- 66.80°, intensity 31.3

Crystal structure
Cell: 5.0968 5.0968 5.0968 Å, 66.68 66.68 66.68°
Fractional positions:
Pm (0.1261, 0.1261, 0.1261)
Pm (0.8739, 0.8739, 0.8739)
P (0.5000, 0.5000, 0.5000)
Rh (0.0000, 0.5000, 0.5000)
Rh (0.5000, 0.0000, 0.5000)
Rh (0.5000, 0.5000, 0.0000)

- Which formula does entry 1 have?
  AcGdTc4